Computed PXRD pattern of Zn3Cr6Fe4O24 for Cu Kα (weighted mean of Kα1 and Kα2), from the PBE+U geometry in the Materials Project.

Peak list (8 most intense, 2θ from 10° to 90°, low angle first)
19.0°, d = 4.683 Å, I = 25, hkl 1 -1 1
25.9°, d = 3.434 Å, I = 22, hkl 1 -1 2
26.7°, d = 3.337 Å, I = 34, hkl 2 0 -1
27.6°, d = 3.236 Å, I = 23, hkl 2 -1 0
28.0°, d = 3.186 Å, I = 100, hkl 0 1 -3
28.3°, d = 3.159 Å, I = 85, hkl 0 2 1
31.5°, d = 2.844 Å, I = 26, hkl 2 1 -2
54.3°, d = 1.688 Å, I = 23, hkl -4 1 1

Atomic structure:
a = 6.794 Å, b = 8.241 Å, c = 9.963 Å
α = 105.26°, β = 105.98°, γ = 100.76°
Sites, in units of the cell vectors:
Zn: 0.000 0.000 0.000
Zn: 0.273 0.778 0.288
Zn: 0.727 0.222 0.712
Cr: 0.099 0.606 0.838
Cr: 0.223 0.157 0.767
Cr: 0.406 0.223 0.373
Cr: 0.594 0.777 0.627
Cr: 0.777 0.843 0.233
Cr: 0.901 0.394 0.162
Fe: 0.044 0.699 0.517
Fe: 0.383 0.456 0.103
Fe: 0.617 0.544 0.897
Fe: 0.956 0.301 0.483
O: 0.019 0.214 0.669
O: 0.066 0.553 0.647
O: 0.110 0.822 0.922
O: 0.150 0.532 0.155
O: 0.186 0.950 0.688
O: 0.225 0.199 0.944
O: 0.249 0.279 0.463
O: 0.298 0.011 0.265
O: 0.338 0.544 0.930
O: 0.358 0.756 0.496
O: 0.437 0.345 0.266
O: 0.458 0.269 0.765
O: 0.542 0.731 0.235
O: 0.563 0.655 0.734
O: 0.642 0.244 0.504
O: 0.662 0.456 0.070
O: 0.702 0.989 0.735
O: 0.751 0.721 0.537
O: 0.775 0.801 0.056
O: 0.814 0.050 0.312
O: 0.850 0.468 0.845
O: 0.890 0.178 0.078
O: 0.934 0.447 0.353
O: 0.981 0.786 0.331